Simulated X-ray powder pattern of La3Zn2GePd9 for copper Kα, from the PBE geometry in Alexandria.
Intensities are scaled so that the largest is 100.

Principal peaks in the range 5° ≤ 2θ ≤ 70°, by angle:
- (0 0 3), 2θ 23.8, d = 3.738 Å, intensity 69
- (0 1 3), 2θ 29.8, d = 2.994 Å, intensity 11
- (0 2 1), 2θ 36.9, d = 2.438 Å, intensity 64
- (2 0 2), 2θ 39.5, d = 2.282 Å, intensity 100
- (0 1 5), 2θ 44.2, d = 2.047 Å, intensity 13
- (0 2 4), 2θ 48.8, d = 1.865 Å, intensity 38
- (2 2 0), 2θ 64.6, d = 1.442 Å, intensity 23
- (2 2 3), 2θ 69.9, d = 1.345 Å, intensity 16

Atomic structure:
```
data_La3Zn2GePd9
_symmetry_space_group_name_H-M 'P -3 m 1'
_symmetry_Int_Tables_number 164
_symmetry_space_group_name_Hall '-P 3 2"'
_cell_length_a 5.7671
_cell_length_b 5.7671
_cell_length_c 11.2220
_cell_angle_alpha 90.00
_cell_angle_beta 90.00
_cell_angle_gamma 120.00
loop_
_atom_site_label
_atom_site_type_symbol
_atom_site_fract_x
_atom_site_fract_y
_atom_site_fract_z
La1 La 0.0000 0.0000 0.0000
La2 La 0.3333 0.6667 0.7260
Zn1 Zn 0.3333 0.6667 0.1701
Ge1 Ge 0.0000 0.0000 0.5000
Pd1 Pd 0.0000 0.5000 0.0000
Pd2 Pd 0.1707 0.3414 0.3453
```

=====

Simulated X-ray powder pattern of La2ZrGe4Pd3 for copper Kα, from the PBE geometry in Alexandria.
Intensities are scaled so that the largest is 100.

Principal peaks in the range 5° ≤ 2θ ≤ 70°, by angle:
- (1 0 3), 2θ 31.9, d = 2.807 Å, intensity 59
- (1 1 2), 2θ 33.4, d = 2.682 Å, intensity 100
- (2 0 0), 2θ 41.6, d = 2.169 Å, intensity 62
- (1 1 4), 2θ 44.1, d = 2.053 Å, intensity 21
- (1 0 5), 2θ 46.1, d = 1.969 Å, intensity 26
- (2 1 3), 2θ 53.4, d = 1.716 Å, intensity 27
- (2 2 0), 2θ 60.4, d = 1.534 Å, intensity 20
- (2 1 5), 2θ 63.9, d = 1.458 Å, intensity 19

Atomic structure:
```
data_La2ZrGe4Pd3
_symmetry_space_group_name_H-M 'P -4 m 2'
_symmetry_Int_Tables_number 115
_symmetry_space_group_name_Hall 'P -4 -2'
_cell_length_a 4.3376
_cell_length_b 4.3376
_cell_length_c 11.0487
_cell_angle_alpha 90.00
_cell_angle_beta 90.00
_cell_angle_gamma 90.00
loop_
_atom_site_label
_atom_site_type_symbol
_atom_site_fract_x
_atom_site_fract_y
_atom_site_fract_z
La1 La 0.0000 0.5000 0.2326
Zr1 Zr 0.0000 0.0000 0.5000
Ge1 Ge 0.0000 0.0000 0.0000
Ge2 Ge 0.0000 0.5000 0.6489
Ge3 Ge 0.5000 0.5000 0.0000
Pd1 Pd 0.0000 0.5000 0.8783
Pd2 Pd 0.5000 0.5000 0.5000
```

=====

Simulated X-ray powder pattern of La2PmGe2 for copper Kα, from the PBE geometry in Alexandria.
Intensities are scaled so that the largest is 100.

Principal peaks in the range 5° ≤ 2θ ≤ 70°, by angle:
- (2 0 1), 2θ 30.0, d = 2.975 Å, intensity 67
- (2 2 0), 2θ 31.9, d = 2.804 Å, intensity 16
- (2 1 1), 2θ 32.1, d = 2.786 Å, intensity 100
- (3 1 0), 2θ 35.8, d = 2.508 Å, intensity 48
- (0 0 2), 2θ 40.1, d = 2.250 Å, intensity 25
- (3 3 1), 2θ 53.1, d = 1.726 Å, intensity 17
- (3 1 2), 2θ 54.8, d = 1.675 Å, intensity 28
- (5 1 1), 2θ 63.3, d = 1.470 Å, intensity 16

Atomic structure:
```
data_La2PmGe2
_symmetry_space_group_name_H-M 'P 4/m b m'
_symmetry_Int_Tables_number 127
_symmetry_space_group_name_Hall '-P 4 2ab'
_cell_length_a 7.9305
_cell_length_b 7.9305
_cell_length_c 4.5002
_cell_angle_alpha 90.00
_cell_angle_beta 90.00
_cell_angle_gamma 90.00
loop_
_atom_site_label
_atom_site_type_symbol
_atom_site_fract_x
_atom_site_fract_y
_atom_site_fract_z
La1 La 0.1746 0.3254 0.0000
Pm1 Pm 0.0000 0.0000 0.5000
Ge1 Ge 0.1194 0.6194 0.5000
```

=====

Simulated X-ray powder pattern of La2Pm3Ge3 for copper Kα, from the PBE geometry in Alexandria.
Intensities are scaled so that the largest is 100.

Principal peaks in the range 5° ≤ 2θ ≤ 70°, by angle:
- (0 0 8), 2θ 30.7, d = 2.912 Å, intensity 20
- (1 1 4), 2θ 33.1, d = 2.709 Å, intensity 100
- (0 2 0), 2θ 39.0, d = 2.312 Å, intensity 17
- (2 0 0), 2θ 44.4, d = 2.041 Å, intensity 12
- (0 2 8), 2θ 50.4, d = 1.811 Å, intensity 10
- (1 0 13), 2θ 56.1, d = 1.640 Å, intensity 12
- (2 2 0), 2θ 60.5, d = 1.530 Å, intensity 9
- (1 3 4), 2θ 66.8, d = 1.400 Å, intensity 12

Atomic structure:
```
data_La2Pm3Ge3
_symmetry_space_group_name_H-M 'I m m m'
_symmetry_Int_Tables_number 71
_symmetry_space_group_name_Hall '-I 2 2'
_cell_length_a 4.0822
_cell_length_b 4.6244
_cell_length_c 23.2974
_cell_angle_alpha 90.00
_cell_angle_beta 90.00
_cell_angle_gamma 90.00
loop_
_atom_site_label
_atom_site_type_symbol
_atom_site_fract_x
_atom_site_fract_y
_atom_site_fract_z
La1 La 0.0000 0.0000 0.2368
Pm1 Pm 0.0000 0.0000 0.5000
Pm2 Pm 0.0000 0.5000 0.3879
Ge1 Ge 0.0000 0.0000 0.0000
Ge2 Ge 0.0000 0.5000 0.1450
```

=====

Simulated X-ray powder pattern of La3Pm2Ge4 for copper Kα, from the PBE geometry in Alexandria.
Intensities are scaled so that the largest is 100.

Principal peaks in the range 5° ≤ 2θ ≤ 70°, by angle:
- (2 2 -1), 2θ 31.0, d = 2.888 Å, intensity 100
- (1 2 -2), 2θ 31.5, d = 2.840 Å, intensity 57
- (2 2 0), 2θ 32.0, d = 2.798 Å, intensity 81
- (1 1 2), 2θ 32.5, d = 2.759 Å, intensity 87
- (3 0 -2), 2θ 34.3, d = 2.614 Å, intensity 44
- (3 0 0), 2θ 35.0, d = 2.563 Å, intensity 42
- (0 3 1), 2θ 35.2, d = 2.549 Å, intensity 42
- (1 1 -3), 2θ 35.6, d = 2.522 Å, intensity 86

Atomic structure:
```
data_La3Pm2Ge4
_symmetry_space_group_name_H-M 'P 1 21/c 1'
_symmetry_Int_Tables_number 14
_symmetry_space_group_name_Hall '-P 2ybc'
_cell_length_a 8.2907
_cell_length_b 8.1475
_cell_length_c 7.9761
_cell_angle_alpha 90.00
_cell_angle_beta 111.96
_cell_angle_gamma 90.00
loop_
_atom_site_label
_atom_site_type_symbol
_atom_site_fract_x
_atom_site_fract_y
_atom_site_fract_z
La1 La 0.0000 0.0000 0.0000
La2 La 0.3002 0.1826 0.4322
Pm1 Pm 0.2667 0.6638 0.2751
Ge1 Ge 0.0043 0.1226 0.6174
Ge2 Ge 0.4147 0.5376 0.6760
```

=====

Simulated X-ray powder pattern of LaPm12Ge6 for copper Kα, from the PBE geometry in Alexandria.
Intensities are scaled so that the largest is 100.

Principal peaks in the range 5° ≤ 2θ ≤ 70°, by angle:
- (1 1 3), 2θ 27.7, d = 3.225 Å, intensity 49
- (1 3 1), 2θ 28.5, d = 3.130 Å, intensity 100
- (3 0 3), 2θ 33.5, d = 2.678 Å, intensity 65
- (3 2 1), 2θ 34.2, d = 2.623 Å, intensity 24
- (0 4 2), 2θ 34.6, d = 2.594 Å, intensity 34
- (0 2 4), 2θ 36.1, d = 2.490 Å, intensity 24
- (5 0 2), 2θ 41.7, d = 2.164 Å, intensity 42
- (0 3 6), 2θ 55.3, d = 1.662 Å, intensity 25

Atomic structure:
```
data_LaPm12Ge6
_symmetry_space_group_name_H-M 'R -3 m'
_symmetry_Int_Tables_number 166
_symmetry_space_group_name_Hall '-R 3 2"'
_cell_length_a 13.5932
_cell_length_b 13.5932
_cell_length_c 10.9928
_cell_angle_alpha 90.00
_cell_angle_beta 90.00
_cell_angle_gamma 120.00
loop_
_atom_site_label
_atom_site_type_symbol
_atom_site_fract_x
_atom_site_fract_y
_atom_site_fract_z
La1 La 0.0000 0.0000 0.0000
Pm1 Pm 0.0000 0.3775 0.5000
Pm2 Pm 0.0886 0.1772 0.3537
Ge1 Ge 0.0319 0.5160 0.2677
```

=====

Simulated X-ray powder pattern of LaPm2Ge for copper Kα, from the PBE geometry in Alexandria.
Intensities are scaled so that the largest is 100.

Principal peaks in the range 5° ≤ 2θ ≤ 70°, by angle:
- (2 2 0), 2θ 29.3, d = 3.044 Å, intensity 100
- (1 0 2), 2θ 29.6, d = 3.016 Å, intensity 68
- (1 1 2), 2θ 31.1, d = 2.874 Å, intensity 87
- (0 3 1), 2θ 31.5, d = 2.841 Å, intensity 49
- (2 2 1), 2θ 32.5, d = 2.758 Å, intensity 58
- (1 3 1), 2θ 33.5, d = 2.675 Å, intensity 74
- (1 2 2), 2θ 35.3, d = 2.544 Å, intensity 72
- (3 0 1), 2θ 36.6, d = 2.455 Å, intensity 53

Atomic structure:
```
data_LaPm2Ge
_symmetry_space_group_name_H-M 'P n m a'
_symmetry_Int_Tables_number 62
_symmetry_space_group_name_Hall '-P 2ac 2n'
_cell_length_a 7.9506
_cell_length_b 9.4689
_cell_length_c 6.5192
_cell_angle_alpha 90.00
_cell_angle_beta 90.00
_cell_angle_gamma 90.00
loop_
_atom_site_label
_atom_site_type_symbol
_atom_site_fract_x
_atom_site_fract_y
_atom_site_fract_z
La1 La 0.0307 0.2500 0.1323
Pm1 Pm 0.1906 0.0523 0.6245
Ge1 Ge 0.1149 0.7500 0.4135
```

=====

Simulated X-ray powder pattern of La4Pm3Ge4 for copper Kα, from the PBE geometry in Alexandria.
Intensities are scaled so that the largest is 100.

Principal peaks in the range 5° ≤ 2θ ≤ 70°, by angle:
- (0 1 5), 2θ 26.7, d = 3.343 Å, intensity 34
- (1 0 3), 2θ 27.5, d = 3.243 Å, intensity 52
- (1 2 1), 2θ 30.9, d = 2.893 Å, intensity 100
- (1 1 4), 2θ 32.1, d = 2.785 Å, intensity 74
- (0 3 3), 2θ 33.3, d = 2.689 Å, intensity 77
- (1 0 5), 2θ 34.1, d = 2.631 Å, intensity 50
- (0 2 6), 2θ 36.0, d = 2.498 Å, intensity 31
- (1 3 6), 2θ 49.0, d = 1.860 Å, intensity 45

Atomic structure:
```
data_La4Pm3Ge4
_symmetry_space_group_name_H-M 'I m m m'
_symmetry_Int_Tables_number 71
_symmetry_space_group_name_Hall '-I 2 2'
_cell_length_a 3.8560
_cell_length_b 9.0257
_cell_length_c 17.9923
_cell_angle_alpha 90.00
_cell_angle_beta 90.00
_cell_angle_gamma 90.00
loop_
_atom_site_label
_atom_site_type_symbol
_atom_site_fract_x
_atom_site_fract_y
_atom_site_fract_z
La1 La 0.0000 0.1705 0.1706
Pm1 Pm 0.0000 0.0000 0.4076
Pm2 Pm 0.0000 0.5000 0.5000
Ge1 Ge 0.0000 0.2749 0.0000
Ge2 Ge 0.0000 0.5000 0.2202
```

=====

Simulated X-ray powder pattern of La2PrGe for copper Kα, from the PBE geometry in Alexandria.
Intensities are scaled so that the largest is 100.

Principal peaks in the range 5° ≤ 2θ ≤ 70°, by angle:
- (1 2 -1), 2θ 28.9, d = 3.087 Å, intensity 68
- (1 0 1), 2θ 29.8, d = 2.993 Å, intensity 36
- (1 0 -2), 2θ 29.9, d = 2.987 Å, intensity 20
- (0 3 1), 2θ 31.3, d = 2.857 Å, intensity 100
- (0 2 2), 2θ 34.0, d = 2.638 Å, intensity 19
- (1 3 0), 2θ 35.8, d = 2.508 Å, intensity 24
- (2 0 -1), 2θ 42.6, d = 2.123 Å, intensity 22
- (2 3 -2), 2θ 53.8, d = 1.705 Å, intensity 21

Atomic structure:
```
data_La2PrGe
_symmetry_space_group_name_H-M 'P 1 21/m 1'
_symmetry_Int_Tables_number 11
_symmetry_space_group_name_Hall '-P 2yb'
_cell_length_a 4.2470
_cell_length_b 9.6221
_cell_length_c 6.6560
_cell_angle_alpha 90.00
_cell_angle_beta 108.55
_cell_angle_gamma 90.00
loop_
_atom_site_label
_atom_site_type_symbol
_atom_site_fract_x
_atom_site_fract_y
_atom_site_fract_z
La1 La 0.1459 0.0546 0.2899
Pr1 Pr 0.4317 0.2500 0.8621
Ge1 Ge 0.2451 0.7500 0.4920
```

=====

Simulated X-ray powder pattern of La2Pr3Ge4 for copper Kα, from the PBE geometry in Alexandria.
Intensities are scaled so that the largest is 100.

Principal peaks in the range 5° ≤ 2θ ≤ 70°, by angle:
- (1 1 -2), 2θ 24.8, d = 3.584 Å, intensity 46
- (1 2 1), 2θ 29.4, d = 3.036 Å, intensity 47
- (2 2 -1), 2θ 30.7, d = 2.912 Å, intensity 100
- (1 2 -2), 2θ 31.3, d = 2.856 Å, intensity 65
- (2 2 0), 2θ 31.9, d = 2.807 Å, intensity 83
- (1 1 2), 2θ 32.5, d = 2.753 Å, intensity 85
- (0 3 1), 2θ 35.1, d = 2.555 Å, intensity 46
- (1 1 -3), 2θ 35.4, d = 2.536 Å, intensity 65

Atomic structure:
```
data_La2Pr3Ge4
_symmetry_space_group_name_H-M 'P 1 21/c 1'
_symmetry_Int_Tables_number 14
_symmetry_space_group_name_Hall '-P 2ybc'
_cell_length_a 8.3946
_cell_length_b 8.1677
_cell_length_c 8.0269
_cell_angle_alpha 90.00
_cell_angle_beta 112.84
_cell_angle_gamma 90.00
loop_
_atom_site_label
_atom_site_type_symbol
_atom_site_fract_x
_atom_site_fract_y
_atom_site_fract_z
La1 La 0.2033 0.1811 0.0626
Pr1 Pr 0.2291 0.6624 0.2181
Pr2 Pr 0.5000 0.0000 0.5000
Ge1 Ge 0.0919 0.5307 0.8195
Ge2 Ge 0.4958 0.1226 0.8809
```

=====

Simulated X-ray powder pattern of LaPrSnGe for copper Kα, from the PBE geometry in Alexandria.
Intensities are scaled so that the largest is 100.

Principal peaks in the range 5° ≤ 2θ ≤ 70°, by angle:
- (1 1 1), 2θ 29.3, d = 3.047 Å, intensity 100
- (0 1 3), 2θ 29.9, d = 2.989 Å, intensity 29
- (0 0 4), 2θ 30.8, d = 2.904 Å, intensity 29
- (1 1 3), 2θ 36.7, d = 2.447 Å, intensity 65
- (1 0 4), 2θ 37.5, d = 2.400 Å, intensity 18
- (0 2 0), 2θ 38.3, d = 2.351 Å, intensity 28
- (2 0 0), 2θ 42.4, d = 2.131 Å, intensity 21
- (2 2 0), 2θ 58.5, d = 1.579 Å, intensity 16

Atomic structure:
```
data_LaPrSnGe
_symmetry_space_group_name_H-M 'A m m 2'
_symmetry_Int_Tables_number 38
_symmetry_space_group_name_Hall 'A 2 -2'
_cell_length_a 4.2614
_cell_length_b 4.7012
_cell_length_c 11.6167
_cell_angle_alpha 90.00
_cell_angle_beta 90.00
_cell_angle_gamma 90.00
loop_
_atom_site_label
_atom_site_type_symbol
_atom_site_fract_x
_atom_site_fract_y
_atom_site_fract_z
La1 La 0.0000 0.0000 0.0000
Pr1 Pr 0.5000 0.0000 0.7240
Sn1 Sn 0.0000 0.0000 0.2836
Ge1 Ge 0.5000 0.0000 0.4515
```

=====

Simulated X-ray powder pattern of La2Ge3Pt for copper Kα, from the PBE geometry in Alexandria.
Intensities are scaled so that the largest is 100.

Principal peaks in the range 5° ≤ 2θ ≤ 70°, by angle:
- (1 1 3), 2θ 23.0, d = 3.865 Å, intensity 8
- (0 2 4), 2θ 31.5, d = 2.839 Å, intensity 100
- (0 4 0), 2θ 41.3, d = 2.187 Å, intensity 16
- (4 0 0), 2θ 41.9, d = 2.157 Å, intensity 17
- (2 0 6), 2θ 41.9, d = 2.154 Å, intensity 31
- (4 2 4), 2θ 53.4, d = 1.717 Å, intensity 23
- (4 4 0), 2θ 60.3, d = 1.535 Å, intensity 32
- (0 6 4), 2θ 69.2, d = 1.358 Å, intensity 10

Atomic structure:
```
data_La2Ge3Pt
_symmetry_space_group_name_H-M 'F m m m'
_symmetry_Int_Tables_number 69
_symmetry_space_group_name_Hall '-F 2 2'
_cell_length_a 8.6286
_cell_length_b 8.7469
_cell_length_c 14.9187
_cell_angle_alpha 90.00
_cell_angle_beta 90.00
_cell_angle_gamma 90.00
loop_
_atom_site_label
_atom_site_type_symbol
_atom_site_fract_x
_atom_site_fract_y
_atom_site_fract_z
La1 La 0.0000 0.2489 0.0000
La2 La 0.2500 0.2500 0.2500
Ge1 Ge 0.0000 0.0000 0.1681
Ge2 Ge 0.2483 0.0000 0.4160
Pt1 Pt 0.0000 0.0000 0.3335
```

=====

Repeat the fifth record exactly.
Simulated X-ray powder pattern of La3Pm2Ge4 for copper Kα, from the PBE geometry in Alexandria.
Intensities are scaled so that the largest is 100.

Principal peaks in the range 5° ≤ 2θ ≤ 70°, by angle:
- (2 2 -1), 2θ 31.0, d = 2.888 Å, intensity 100
- (1 2 -2), 2θ 31.5, d = 2.840 Å, intensity 57
- (2 2 0), 2θ 32.0, d = 2.798 Å, intensity 81
- (1 1 2), 2θ 32.5, d = 2.759 Å, intensity 87
- (3 0 -2), 2θ 34.3, d = 2.614 Å, intensity 44
- (3 0 0), 2θ 35.0, d = 2.563 Å, intensity 42
- (0 3 1), 2θ 35.2, d = 2.549 Å, intensity 42
- (1 1 -3), 2θ 35.6, d = 2.522 Å, intensity 86

Atomic structure:
```
data_La3Pm2Ge4
_symmetry_space_group_name_H-M 'P 1 21/c 1'
_symmetry_Int_Tables_number 14
_symmetry_space_group_name_Hall '-P 2ybc'
_cell_length_a 8.2907
_cell_length_b 8.1475
_cell_length_c 7.9761
_cell_angle_alpha 90.00
_cell_angle_beta 111.96
_cell_angle_gamma 90.00
loop_
_atom_site_label
_atom_site_type_symbol
_atom_site_fract_x
_atom_site_fract_y
_atom_site_fract_z
La1 La 0.0000 0.0000 0.0000
La2 La 0.3002 0.1826 0.4322
Pm1 Pm 0.2667 0.6638 0.2751
Ge1 Ge 0.0043 0.1226 0.6174
Ge2 Ge 0.4147 0.5376 0.6760
```

=====

- What is the formula in the fifth record?
  La3Pm2Ge4